Entry 1:
Computed powder XRD pattern
Compound: SrMg6Cd6
Radiation: Cu Kα (λ = 1.5418 Å)
Structure: a crystal structure in Alexandria, relaxed with PBE

Main lines, sorted by position (15 to 90 degrees two-theta):
d 4.980, I 41, hkl 0 2 0; d 3.022, I 64, hkl 2 0 0; d 2.975, I 100, hkl 1 0 3; d 2.910, I 24, hkl 1 3 0; d 2.583, I 44, hkl 2 2 0; d 2.554, I 62, hkl 1 2 3; d 2.531, I 63, hkl 1 3 2; d 2.307, I 37, hkl 2 2 2; d 2.297, I 26, hkl 1 1 4; d 2.246, I 23, hkl 1 4 1; d 1.511, I 28, hkl 4 0 0; d 1.450, I 30, hkl 1 6 3

Atomic structure:
Cell: 6.0432 9.9607 10.2551 Å, 90.00 90.00 90.00°
Space group Immm (No. 71)
Symmetry-distinct sites (fractional):
Sr 0.0000 0.0000 0.0000 x2
Mg 0.0000 0.2744 0.5000 x4
Mg 0.2500 0.2500 0.2500 x8
Cd 0.0000 0.0000 0.3513 x4
Cd 0.0000 0.3482 0.0000 x4
Cd 0.0000 0.5000 0.2949 x4

***

Entry 2:
Computed powder XRD pattern
Compound: Sr3Sb2
Radiation: Cu Kα (λ = 1.5418 Å)
Structure: a crystal structure in Alexandria, relaxed with PBE

Main lines, sorted by position (15 to 90 degrees two-theta):
d 4.839, I 23, hkl 1 0 0; d 4.021, I 26, hkl 1 0 1; d 3.615, I 16, hkl 0 0 2; d 2.896, I 93, hkl 1 0 2; d 2.794, I 100, hkl 1 1 0; d 2.211, I 24, hkl 1 1 2; d 2.011, I 32, hkl 0 2 2; d 1.693, I 18, hkl 0 1 4; d 1.632, I 33, hkl 2 1 2; d 1.613, I 19, hkl 3 0 0; d 1.286, I 16, hkl 1 2 4; d 1.258, I 14, hkl 1 3 2

Atomic structure:
Cell: 5.5875 5.5875 7.2306 Å, 90.00 90.00 120.00°
Space group P-3m1 (No. 164)
Symmetry-distinct sites (fractional):
Sr 0.0000 0.0000 0.0000 x1
Sr 0.3333 0.6667 0.3157 x2
Sb 0.3333 0.6667 0.7869 x2

***

Entry 3:
Computed powder XRD pattern
Compound: SbOs3
Radiation: Cu Kα (λ = 1.5418 Å)
Structure: a crystal structure in Alexandria, relaxed with PBE

Main lines, sorted by position (15 to 90 degrees two-theta):
d 5.816, I 15, hkl 0 0 1; d 2.319, I 98, hkl 0 1 2; d 2.299, I 100, hkl 1 1 0; d 2.042, I 67, hkl 1 0 2; d 1.921, I 29, hkl 0 2 0; d 1.435, I 11, hkl 2 0 0; d 1.399, I 40, hkl 1 2 2; d 1.229, I 23, hkl 1 1 4; d 1.220, I 26, hkl 2 1 2; d 1.172, I 11, hkl 0 3 2; d 1.169, I 12, hkl 1 3 0; d 1.149, I 11, hkl 2 2 0

Atomic structure:
Cell: 2.8692 3.8412 5.8159 Å, 90.00 90.00 90.00°
Space group Pmmm (No. 47)
Symmetry-distinct sites (fractional):
Sb 0.0000 0.0000 0.0000 x1
Os 0.0000 0.0000 0.5000 x1
Os 0.5000 0.5000 0.2735 x2

***

Entry 4:
Computed powder XRD pattern
Compound: Ho4Tl
Radiation: Cu Kα (λ = 1.5418 Å)
Structure: a crystal structure in Alexandria, relaxed with PBE

Main lines, sorted by position (15 to 90 degrees two-theta):
d 2.826, I 100, hkl 5 1 0; d 2.798, I 99, hkl 1 1 -2; d 2.472, I 35, hkl 4 0 2; d 2.423, I 33, hkl 6 0 -2; d 2.411, I 33, hkl 0 2 0; d 1.726, I 24, hkl 4 2 2; d 1.709, I 23, hkl 6 2 -2; d 1.491, I 14, hkl 9 1 2; d 1.479, I 14, hkl 3 1 4; d 1.469, I 13, hkl 11 1 -2; d 1.460, I 14, hkl 5 3 0; d 1.457, I 27, hkl 1 3 -2

Atomic structure:
Cell: 17.7088 4.8226 6.8717 Å, 90.00 100.03 90.00°
Space group C2/m (No. 12)
Symmetry-distinct sites (fractional):
Ho 0.0000 0.0000 0.0000 x2
Ho 0.0000 0.0000 0.5000 x2
Ho 0.1035 0.5000 0.2908 x4
Ho 0.1949 0.0000 0.5962 x4
Ho 0.2044 0.0000 0.1029 x4
Tl 0.0942 0.5000 0.7935 x4

***

Entry 5:
Computed powder XRD pattern
Compound: InS5F
Radiation: Cu Kα (λ = 1.5418 Å)
Structure: a crystal structure in Alexandria, relaxed with PBE

Main lines, sorted by position (15 to 90 degrees two-theta):
d 5.346, I 32, hkl 1 1 0; d 4.393, I 47, hkl 0 4 0; d 4.219, I 63, hkl 1 1 -1; d 4.052, I 100, hkl 1 3 0; d 3.597, I 23, hkl 0 0 1; d 2.978, I 21, hkl 1 5 0; d 2.783, I 18, hkl 0 4 1; d 2.733, I 21, hkl 1 5 -1; d 2.636, I 33, hkl 2 4 -1; d 2.269, I 18, hkl 1 3 1; d 2.077, I 19, hkl 1 1 -2; d 1.828, I 19, hkl 2 8 -1

Atomic structure:
Cell: 6.8079 17.5711 4.3642 Å, 90.00 124.48 90.00°
Space group C2 (No. 5)
Symmetry-distinct sites (fractional):
In 0.0000 0.0000 0.0000 x2
S 0.0000 0.2593 0.0000 x2
S 0.1199 0.5682 0.7771 x4
S 0.1309 0.3312 0.7815 x4
F 0.0000 0.9646 0.5000 x2

***

Entry 6:
Computed powder XRD pattern
Compound: PaSiPOs
Radiation: Cu Kα (λ = 1.5418 Å)
Structure: a crystal structure in Alexandria, relaxed with PBE

Main lines, sorted by position (15 to 90 degrees two-theta):
d 3.702, I 63, hkl 1 0 1; d 2.904, I 26, hkl 0 0 3; d 2.744, I 53, hkl 1 1 1; d 2.409, I 100, hkl 1 1 2; d 2.368, I 32, hkl 1 0 3; d 2.045, I 47, hkl 2 0 0; d 1.790, I 18, hkl 2 1 1; d 1.672, I 21, hkl 2 0 3; d 1.547, I 17, hkl 2 1 3; d 1.492, I 32, hkl 1 1 5; d 1.446, I 15, hkl 2 2 0; d 1.240, I 25, hkl 3 1 2

Atomic structure:
Cell: 4.0892 4.0892 8.7117 Å, 90.00 90.00 90.00°
Space group P4/nmm (No. 129, origin choice 2)
Symmetry-distinct sites (fractional):
Pa 0.2500 0.2500 0.2169 x2
Si 0.2500 0.2500 0.6378 x2
P 0.2500 0.2500 0.8916 x2
Os 0.2500 0.7500 0.5000 x2

***

Entry 7:
Computed powder XRD pattern
Compound: BaAgClF2
Radiation: Cu Kα (λ = 1.5418 Å)
Structure: a crystal structure in Alexandria, relaxed with PBE

Main lines, sorted by position (15 to 90 degrees two-theta):
d 3.578, I 68, hkl 1 1 1; d 3.337, I 62, hkl 0 4 0; d 3.286, I 76, hkl 0 2 2; d 3.079, I 24, hkl 1 3 0; d 3.052, I 30, hkl 0 4 1; d 2.851, I 54, hkl 1 3 1; d 2.766, I 100, hkl 1 1 2; d 2.140, I 32, hkl 1 1 3; d 2.133, I 40, hkl 2 0 0; d 1.941, I 66, hkl 1 5 2; d 1.797, I 20, hkl 2 4 0; d 1.789, I 27, hkl 2 2 2

Atomic structure:
Cell: 4.2652 13.3467 7.5513 Å, 90.00 90.00 90.00°
Space group Cmcm (No. 63)
Symmetry-distinct sites (fractional):
Ba 0.0000 0.2215 0.2500 x4
Ag 0.0000 0.5000 0.0000 x4
Cl 0.0000 0.0328 0.7500 x4
F 0.0000 0.3215 0.5527 x8

***

Entry 8:
Computed powder XRD pattern
Compound: RbZn2Cd10
Radiation: Cu Kα (λ = 1.5418 Å)
Structure: a crystal structure in Alexandria, relaxed with PBE

Main lines, sorted by position (15 to 90 degrees two-theta):
d 2.956, I 21, hkl 0 4 0; d 2.942, I 29, hkl 0 2 3; d 2.734, I 57, hkl 3 1 2; d 2.558, I 64, hkl 0 4 2; d 2.552, I 28, hkl 2 4 0; d 2.543, I 100, hkl 0 0 4; d 2.528, I 34, hkl 4 0 0; d 2.281, I 85, hkl 2 4 2; d 2.272, I 28, hkl 2 0 4; d 2.266, I 47, hkl 4 0 2; d 1.471, I 22, hkl 0 4 6; d 1.463, I 29, hkl 6 4 0

Atomic structure:
Cell: 10.1135 11.8259 10.1726 Å, 90.00 90.00 90.00°
Space group Cmcm (No. 63)
Symmetry-distinct sites (fractional):
Rb 0.0000 0.1223 0.2500 x4
Zn 0.2500 0.2500 0.0000 x8
Cd 0.0000 0.1580 0.6014 x8
Cd 0.0000 0.3803 0.0449 x8
Cd 0.1487 0.3781 0.7500 x8
Cd 0.2237 0.0000 0.0000 x8
Cd 0.2259 0.3675 0.2500 x8